1.
This entry pairs a crystal structure of PmIn5Cu with its theoretical powder diffraction line list. Radiation: Cu Kα (λ = 1.5418 Å). Structure: a crystal structure in Alexandria, relaxed with PBE.

Most intense lines, 10 to 80 degrees two-theta, most intense first:
index	Position (°2θ)	I (rel.)
1 1 2	35.68	100
2 0 0	38.04	54
1 1 1	29.15	41
3 1 2	67.21	30
2 0 3	52.84	22
2 2 0	54.90	18

Structural model:
abc: 4.7305 4.7305 7.6369
angles: 90.00 90.00 90.00
Space group P4/mmm (No. 123)
Inequivalent atoms, fractional coordinates:
Pm 0.0000 0.0000 0.0000 x1
In 0.0000 0.5000 0.3018 x4
In 0.5000 0.5000 0.0000 x1
Cu 0.0000 0.0000 0.5000 x1

2.
This entry pairs a crystal structure of MgRh2S with its theoretical powder diffraction line list. Radiation: Cu Kα (λ = 1.5418 Å). Structure: a crystal structure in Alexandria, relaxed with PBE.

Most intense lines, 10 to 80 degrees two-theta, most intense first:
index	Position (°2θ)	I (rel.)
2 1 1	32.88	100
1 1 2	38.19	93
1 0 1	20.83	55
3 2 1	49.44	54
2 2 0	35.86	32
2 0 0	25.15	31

Structural model:
abc: 7.0821 7.0821 5.3417
angles: 90.00 90.00 90.00
Space group I-42d (No. 122)
Inequivalent atoms, fractional coordinates:
Mg 0.0000 0.0000 0.0000 x4
Rh 0.1571 0.7500 0.6250 x8
S 0.0000 0.0000 0.5000 x4

3.
This entry pairs a crystal structure of K4P3Au with its theoretical powder diffraction line list. Radiation: Cu Kα (λ = 1.5418 Å). Structure: a crystal structure in Alexandria, relaxed with PBE.

Most intense lines, 10 to 80 degrees two-theta, most intense first:
index	Position (°2θ)	I (rel.)
0 2 0	14.78	100
0 0 1	13.15	80
2 0 1	25.89	56
1 1 0	13.29	56
0 4 0	29.81	46
0 1 1	15.10	38

Structural model:
abc: 8.0101 11.9880 6.7311
angles: 90.00 90.00 90.00
Space group Pmmn (No. 59, origin choice 2)
Inequivalent atoms, fractional coordinates:
K 0.0083 0.2500 0.0312 x4
K 0.2500 0.5147 0.5106 x4
P 0.0334 0.7500 0.5007 x4
P 0.2500 0.7500 0.2968 x2
Au 0.2500 0.2500 0.6043 x2

4.
This entry pairs a crystal structure of Li2SmZn2 with its theoretical powder diffraction line list. Radiation: Cu Kα (λ = 1.5418 Å). Structure: a crystal structure in Alexandria, relaxed with PBE.

Most intense lines, 10 to 80 degrees two-theta, most intense first:
index	Position (°2θ)	I (rel.)
1 1 2	32.74	100
1 1 4	35.00	64
0 1 9	37.46	57
1 0 7	35.20	52
0 2 0	39.91	30
1 2 7	54.25	30

Structural model:
abc: 3.5686 4.5176 25.5075
angles: 90.00 90.00 90.00
Space group Imma (No. 74)
Inequivalent atoms, fractional coordinates:
Li 0.0000 0.2500 0.1970 x4
Li 0.0000 0.2500 0.7051 x4
Sm 0.0000 0.2500 0.4230 x4
Zn 0.0000 0.2500 0.8717 x4
Zn 0.0000 0.2500 0.9752 x4

5.
This entry pairs a crystal structure of B7C5 with its theoretical powder diffraction line list. Radiation: Cu Kα (λ = 1.5418 Å). Structure: a crystal structure in Alexandria, relaxed with PBE.

Most intense lines, 10 to 80 degrees two-theta, most intense first:
index	Position (°2θ)	I (rel.)
3 1 0	42.25	100
2 0 2	40.81	64
4 0 -2	39.45	55
2 0 0	14.14	51
7 1 -2	67.44	30
5 1 2	69.33	26

Structural model:
abc: 12.9075 2.4907 5.3343
angles: 90.00 103.97 90.00
Space group Cm (No. 8)
Inequivalent atoms, fractional coordinates:
B 0.0000 0.0000 0.0000 x2
B 0.0007 0.0000 0.4372 x2
B 0.1052 0.5000 0.0324 x2
B 0.1059 0.5000 0.5213 x2
B 0.2456 0.0000 0.2979 x2
B 0.3225 0.0000 0.6638 x2
B 0.4200 0.5000 0.6721 x2
C 0.1767 0.5000 0.8215 x2
C 0.1862 0.5000 0.3343 x2
C 0.2473 0.0000 0.8566 x2
C 0.3355 0.0000 0.1288 x2
C 0.4029 0.5000 0.1738 x2